The following is a simulated X-ray diffraction stick pattern of LiPrSn. It was derived from a structure optimized by DFT (PBE), using a wavelength of 1.5418 Å.

Structural model:
Cell: 4.7963 4.7963 4.7963 Å, 60.00 60.00 60.00°
Element x y z (fractional)
Li  0.0000  0.0000  0.0000
Pr  0.2500  0.2500  0.2500
Sn  0.7500  0.7500  0.7500

The 10 most intense peaks (15 to 90 degrees two-theta), in order of rising 2θ:
2θ/deg, d_spacing, intensity
22.71, 3.916, 1
26.28, 3.391, 100
37.50, 2.398, 86
44.29, 2.045, 1
46.37, 1.958, 29
54.08, 1.696, 15
61.10, 1.517, 39
67.67, 1.385, 31
80.02, 1.199, 10
85.99, 1.130, 20



The following is a simulated X-ray diffraction stick pattern of BaZnBiF7. It was derived from a structure optimized by DFT (PBE), using a wavelength of 1.5418 Å.

Structural model:
Cell: 5.7433 10.8298 9.9018 Å, 90.00 91.70 90.00°
Element x y z (fractional)
Ba  0.2495  0.1692  0.0089
Ba  0.2495  0.3308  0.5089
Ba  0.7505  0.6692  0.4911
Ba  0.7505  0.8308  0.9911
Zn  0.1994  0.6255  0.7997
Zn  0.1994  0.8745  0.2997
Zn  0.8006  0.1255  0.7003
Zn  0.8006  0.3745  0.2003
Bi  0.2731  0.5831  0.1675
Bi  0.2731  0.9169  0.6675
Bi  0.7269  0.0831  0.3325
Bi  0.7269  0.4169  0.8325
F  0.0063  0.2255  0.2734
F  0.0063  0.2745  0.7734
F  0.0438  0.5221  0.6542
F  0.0438  0.9779  0.1542
F  0.1032  0.1020  0.5892
F  0.1032  0.3980  0.0892
F  0.3026  0.7129  0.9802
F  0.3026  0.7871  0.4802
F  0.3609  0.0271  0.3790
F  0.3609  0.4729  0.8790
F  0.4239  0.5311  0.3694
F  0.4239  0.9689  0.8694
F  0.4681  0.7320  0.7281
F  0.4681  0.7680  0.2281
F  0.5319  0.2320  0.7719
F  0.5319  0.2680  0.2719
F  0.5761  0.0311  0.1306
F  0.5761  0.4689  0.6306
F  0.6391  0.5271  0.1210
F  0.6391  0.9729  0.6210
F  0.6974  0.2129  0.5198
F  0.6974  0.2871  0.0198
F  0.8968  0.6020  0.9108
F  0.8968  0.8980  0.4108
F  0.9562  0.0221  0.8458
F  0.9562  0.4779  0.3458
F  0.9937  0.7255  0.2266
F  0.9937  0.7745  0.7266

The 10 most intense peaks (15 to 90 degrees two-theta), in order of rising 2θ:
2θ/deg, d_spacing, intensity
24.14, 3.687, 100
24.49, 3.635, 30
24.80, 3.589, 33
25.47, 3.497, 52
28.28, 3.156, 56
29.23, 3.056, 43
31.16, 2.870, 36
40.09, 2.249, 25
41.94, 2.154, 31
51.22, 1.784, 31



The following is a simulated X-ray diffraction stick pattern of CaH24C6Br2O6. It was derived from a structure optimized by DFT (PBE), using a wavelength of 1.5418 Å.

Structural model:
Cell: 8.6060 8.6060 7.2952 Å, 90.00 90.00 120.00°
Element x y z (fractional)
Ca  0.0000  0.0000  0.0000
H  0.0824  0.6884  0.4058
H  0.0960  0.3249  0.3104
H  0.1167  0.3627  0.8235
H  0.1936  0.7074  0.1918
H  0.2289  0.9040  0.3104
H  0.2459  0.8833  0.8235
H  0.2926  0.4862  0.1918
H  0.3116  0.3940  0.4058
H  0.3249  0.2289  0.6896
H  0.3627  0.2459  0.1765
H  0.3940  0.0824  0.5942
H  0.4862  0.1936  0.8082
H  0.5138  0.8064  0.1918
H  0.6060  0.9176  0.4058
H  0.6373  0.7541  0.8235
H  0.6751  0.7711  0.3104
H  0.6884  0.6060  0.5942
H  0.7074  0.5138  0.8082
H  0.7541  0.1167  0.1765
H  0.7711  0.0960  0.6896
H  0.8064  0.2926  0.8082
H  0.8833  0.6373  0.1765
H  0.9040  0.6751  0.6896
H  0.9176  0.3116  0.5942
C  0.1304  0.7644  0.2779
C  0.2356  0.3660  0.2779
C  0.3660  0.1304  0.7221
C  0.6340  0.8696  0.2779
C  0.7644  0.6340  0.7221
C  0.8696  0.2356  0.7221
Br  0.3333  0.6667  0.7830
Br  0.6667  0.3333  0.2170
O  0.0168  0.2367  0.8197
O  0.2200  0.9832  0.8197
O  0.2367  0.2200  0.1803
O  0.7633  0.7800  0.8197
O  0.7800  0.0168  0.1803
O  0.9832  0.7633  0.1803

The 10 most intense peaks (15 to 90 degrees two-theta), in order of rising 2θ:
2θ/deg, d_spacing, intensity
17.01, 5.213, 100
20.64, 4.303, 48
24.01, 3.706, 43
24.40, 3.648, 35
26.87, 3.319, 76
27.22, 3.276, 29
34.12, 2.628, 62
34.40, 2.607, 34
40.46, 2.230, 34
49.52, 1.841, 25



The following is a simulated X-ray diffraction stick pattern of NaH4BrO2. It was derived from a structure optimized by DFT (PBE), using a wavelength of 1.5418 Å.

Structural model:
Cell: 6.6437 10.4712 6.8005 Å, 90.00 113.45 90.00°
Element x y z (fractional)
Na  0.0131  0.1677  0.4567
Na  0.0131  0.3323  0.9567
Na  0.9869  0.6677  0.0433
Na  0.9869  0.8323  0.5433
H  0.2254  0.5979  0.7772
H  0.2254  0.9021  0.2772
H  0.2348  0.0375  0.8652
H  0.2348  0.4625  0.3652
H  0.3585  0.7104  0.9154
H  0.3585  0.7896  0.4154
H  0.3648  0.5158  0.2350
H  0.3648  0.9842  0.7350
H  0.6352  0.0158  0.2650
H  0.6352  0.4842  0.7650
H  0.6415  0.2104  0.5846
H  0.6415  0.2896  0.0846
H  0.7652  0.5375  0.6348
H  0.7652  0.9625  0.1348
H  0.7746  0.0979  0.7228
H  0.7746  0.4021  0.2228
Br  0.2993  0.1146  0.2102
Br  0.2993  0.3854  0.7102
Br  0.7007  0.6146  0.2898
Br  0.7007  0.8854  0.7898
O  0.2085  0.6858  0.8221
O  0.2085  0.8142  0.3221
O  0.2166  0.0107  0.7197
O  0.2166  0.4893  0.2197
O  0.7834  0.5107  0.7803
O  0.7834  0.9893  0.2803
O  0.7915  0.1858  0.6779
O  0.7915  0.3142  0.1779

The 10 most intense peaks (15 to 90 degrees two-theta), in order of rising 2θ:
2θ/deg, d_spacing, intensity
16.83, 5.268, 53
22.17, 4.011, 100
23.22, 3.830, 41
25.61, 3.478, 59
28.31, 3.152, 36
28.62, 3.120, 37
29.49, 3.029, 58
33.01, 2.713, 48
35.41, 2.535, 66
44.55, 2.034, 39



The following is a simulated X-ray diffraction stick pattern of Ho2Zr2O7. It was derived from a structure optimized by DFT (PBE), using a wavelength of 1.5418 Å.

Structural model:
Cell: 7.4719 7.4719 7.4719 Å, 60.00 60.00 60.00°
Element x y z (fractional)
Ho  0.0000  0.0000  0.0000
Ho  0.0000  0.0000  0.5000
Ho  0.0000  0.5000  0.0000
Ho  0.5000  0.0000  0.0000
Zr  0.0000  0.5000  0.5000
Zr  0.5000  0.0000  0.5000
Zr  0.5000  0.5000  0.0000
Zr  0.5000  0.5000  0.5000
O  0.1250  0.1250  0.1250
O  0.1579  0.1579  0.5921
O  0.1579  0.5921  0.1579
O  0.1579  0.5921  0.5921
O  0.4079  0.4079  0.8421
O  0.4079  0.8421  0.4079
O  0.4079  0.8421  0.8421
O  0.5921  0.1579  0.1579
O  0.5921  0.1579  0.5921
O  0.5921  0.5921  0.1579
O  0.8421  0.4079  0.4079
O  0.8421  0.4079  0.8421
O  0.8421  0.8421  0.4079
O  0.8750  0.8750  0.8750

The 10 most intense peaks (15 to 90 degrees two-theta), in order of rising 2θ:
2θ/deg, d_spacing, intensity
28.01, 3.186, 3
29.28, 3.050, 100
33.93, 2.642, 32
37.09, 2.424, 7
48.75, 1.868, 49
57.89, 1.593, 43
60.72, 1.525, 9
71.42, 1.321, 7
78.99, 1.212, 17
81.47, 1.181, 13



The following is a simulated X-ray diffraction stick pattern of GaNi2Pt. It was derived from a structure optimized by DFT (PBE), using a wavelength of 1.5418 Å.

Structural model:
Cell: 3.7125 3.7125 3.7332 Å, 90.00 90.00 90.00°
Element x y z (fractional)
Ga  0.0000  0.0000  0.0000
Ni  0.0000  0.5000  0.5000
Ni  0.5000  0.0000  0.5000
Pt  0.5000  0.5000  0.0000

The 10 most intense peaks (15 to 90 degrees two-theta), in order of rising 2θ:
2θ/deg, d_spacing, intensity
23.84, 3.733, 12
23.97, 3.713, 19
34.10, 2.630, 26
42.08, 2.147, 100
48.79, 1.867, 16
49.08, 1.856, 32
55.30, 1.661, 10
71.71, 1.316, 20
86.56, 1.124, 12
87.00, 1.120, 24



The following is a simulated X-ray diffraction stick pattern of Li2Pd. It was derived from a structure optimized by DFT (PBE), using a wavelength of 1.5418 Å.

Structural model:
Cell: 4.2344 4.2344 2.7379 Å, 90.00 90.00 120.00°
Element x y z (fractional)
Li  0.3333  0.6667  0.0000
Li  0.6667  0.3333  0.0000
Pd  0.0000  0.0000  0.5000

The 10 most intense peaks (15 to 90 degrees two-theta), in order of rising 2θ:
2θ/deg, d_spacing, intensity
24.27, 3.667, 100
32.71, 2.738, 14
41.15, 2.194, 59
42.71, 2.117, 29
49.73, 1.834, 14
54.81, 1.675, 19
60.80, 1.523, 18
67.59, 1.386, 11
73.90, 1.283, 8
77.13, 1.237, 18



The following is a simulated X-ray diffraction stick pattern of FeCu2S2. It was derived from a structure optimized by DFT (PBE), using a wavelength of 1.5418 Å.

Structural model:
Cell: 7.6392 7.6392 7.6392 Å, 60.00 60.00 60.00°
Element x y z (fractional)
Fe  0.3758  0.3758  0.3758
Fe  0.3758  0.3758  0.8725
Fe  0.3758  0.8725  0.3758
Fe  0.8725  0.3758  0.3758
Cu  0.1204  0.1204  0.1204
Cu  0.1204  0.1204  0.6389
Cu  0.1204  0.6389  0.1204
Cu  0.3907  0.8698  0.8698
Cu  0.6389  0.1204  0.1204
Cu  0.8698  0.3907  0.8698
Cu  0.8698  0.8698  0.3907
Cu  0.8698  0.8698  0.8698
S  0.2500  0.2500  0.2500
S  0.2564  0.2564  0.7436
S  0.2564  0.7436  0.2564
S  0.2564  0.7436  0.7436
S  0.7436  0.2564  0.2564
S  0.7436  0.2564  0.7436
S  0.7436  0.7436  0.2564
S  0.7500  0.7500  0.7500

The 10 most intense peaks (15 to 90 degrees two-theta), in order of rising 2θ:
2θ/deg, d_spacing, intensity
27.38, 3.257, 18
28.62, 3.119, 35
33.17, 2.701, 37
36.24, 2.478, 13
47.62, 1.910, 100
56.50, 1.629, 13
59.26, 1.559, 8
69.62, 1.350, 14
79.32, 1.208, 9
88.72, 1.103, 29



Q: Number 2 is which compound?
A: BaZnBiF7